# 1
For Mg2ZnCdGa, a structure optimized by DFT (GGA-PBE) gives the simulated X-ray powder pattern in this record (Cu Kα X-rays).
Intensities are scaled so that the largest is 100.

Structural model:
```
data_Mg2ZnCdGa
_chemical_formula_sum 'Mg4 Zn2 Cd2 Ga2'
_cell_length_a 6.793
_cell_length_b 4.235
_cell_length_c 6.831
_cell_angle_alpha 90.00
_cell_angle_beta 95.35
_cell_angle_gamma 90.00
_symmetry_space_group_name_H-M 'P 1 21/m 1'
_symmetry_Int_Tables_number 11
loop_
_symmetry_equiv_pos_as_xyz
'x,y,z'
'-x,-y,-z'
'-x,y+1/2,-z'
'x,-y+1/2,z'
loop_
_atom_site_label
_atom_site_fract_x
_atom_site_fract_y
_atom_site_fract_z
Mg1 0.031 0.250 0.347
Mg2 0.453 0.250 0.160
Zn1 0.354 0.750 0.450
Cd1 0.152 0.750 0.064
Ga1 0.277 0.250 0.717
```

Most intense lines, 10° ≤ 2θ ≤ 90°, low angle first:
two_theta	d_spacing	Rel. int.
17.6	5.036	15
19.4	4.587	17
24.8	3.593	37
35.5	2.526	100
37.3	2.410	90
40.8	2.213	30
42.7	2.118	31
43.4	2.083	28
60.5	1.530	18
62.6	1.485	18
73.5	1.288	20
74.6	1.272	11


# 2
For LiSiBiO4, a structure optimized by DFT (GGA-PBE) gives the simulated X-ray powder pattern in this record (Cu Kα X-rays).
Intensities are scaled so that the largest is 100.

Structural model:
```
data_LiSiBiO4
_chemical_formula_sum 'Li8 Si8 Bi8 O32'
_cell_length_a 10.450
_cell_length_b 5.441
_cell_length_c 14.577
_cell_angle_alpha 90.00
_cell_angle_beta 90.00
_cell_angle_gamma 90.00
_symmetry_space_group_name_H-M 'P c a 21'
_symmetry_Int_Tables_number 29
loop_
_symmetry_equiv_pos_as_xyz
'x,y,z'
'-x,-y,z+1/2'
'-x+1/2,y,z+1/2'
'x+1/2,-y,z'
loop_
_atom_site_label
_atom_site_fract_x
_atom_site_fract_y
_atom_site_fract_z
Li1 0.012 0.023 0.000
Li2 0.217 0.459 0.245
Si1 0.024 0.514 0.876
Si2 0.240 0.935 0.617
Bi1 0.001 0.971 0.254
Bi2 0.207 0.408 0.496
O1 0.029 0.653 0.461
O2 0.039 0.211 0.396
O3 0.040 0.582 0.276
O4 0.094 0.063 0.613
O5 0.180 0.500 0.865
O6 0.190 0.066 0.210
O7 0.191 0.022 0.023
O8 0.239 0.637 0.631
```

Most intense lines, 10° ≤ 2θ ≤ 90°, low angle first:
two_theta	d_spacing	Rel. int.
20.4	4.360	94
20.9	4.247	100
22.1	4.024	14
23.6	3.769	43
24.4	3.645	33
32.9	2.721	19
34.3	2.618	66
39.3	2.291	21
40.2	2.241	20
40.7	2.218	18
41.0	2.203	20
42.6	2.122	20


# 3
For Zr2TiRh3, a structure optimized by DFT (GGA-PBE) gives the simulated X-ray powder pattern in this record (Cu Kα X-rays).
Intensities are scaled so that the largest is 100.

Structural model:
```
data_Zr2TiRh3
_chemical_formula_sum 'Zr4 Ti2 Rh6'
_cell_length_a 4.361
_cell_length_b 14.800
_cell_length_c 3.217
_cell_angle_alpha 90.00
_cell_angle_beta 90.00
_cell_angle_gamma 90.00
_symmetry_space_group_name_H-M 'P m m n'
_symmetry_Int_Tables_number 59
loop_
_symmetry_equiv_pos_as_xyz
'x,y,z'
'-x,-y,-z'
'-x+1/2,-y+1/2,z'
'x+1/2,y+1/2,-z'
'x+1/2,-y,-z'
'-x+1/2,y,z'
'-x,y+1/2,-z'
'x,-y+1/2,z'
loop_
_atom_site_label
_atom_site_fract_x
_atom_site_fract_y
_atom_site_fract_z
Zr1 0.250 0.077 0.248
Ti1 0.250 0.750 0.753
Rh1 0.250 0.250 0.747
Rh2 0.250 0.611 0.252
```

Most intense lines, 10° ≤ 2θ ≤ 90°, low angle first:
two_theta	d_spacing	Rel. int.
34.7	2.589	29
36.4	2.467	41
36.8	2.445	100
41.4	2.180	51
42.6	2.121	95
56.3	1.634	22
57.3	1.608	17
72.5	1.304	13
73.1	1.294	16
73.7	1.285	21
76.4	1.247	16
84.5	1.146	13